# 1
Pm5PrHo2Er: simulated XRD peak list (Cu Kα), based on a GGA-PBE-relaxed structure.
Neutral-atom scattering factors, no anomalous dispersion.

Principal peaks in the range 2θ = 10–90°, in order of falling intensity:
| Position (°2θ) | d_spacing | I/Imax |
| --- | --- | --- |
| 31.90 | 2.805 | 100 |
| 31.43 | 2.846 | 43 |
| 30.03 | 2.976 | 41 |
| 56.26 | 1.635 | 20 |
| 27.70 | 3.220 | 19 |
| 58.77 | 1.571 | 15 |
| 60.91 | 1.521 | 14 |
| 33.73 | 2.657 | 12 |
| 42.39 | 2.133 | 12 |
| 50.73 | 1.799 | 12 |
| 46.77 | 1.942 | 10 |
| 55.08 | 1.667 | 8 |

Atomic structure:
```
18
Lattice="2.8462 -10.1361 0.0000 2.8462 10.1361 0.0000 0.0000 0.0000 10.6302" Properties=species:S:1:pos:R:3 pbc="T T T"
Pm 2.8462 9.7899 5.3151
Pm 2.8462 4.4599 8.4303
Pm 2.8462 4.1091 1.9852
Pm 2.8462 2.3198 5.3335
Pm 2.8462 0.4093 2.3367
Pm 2.8462 -0.4093 7.6518
Pm 2.8462 -2.3198 0.0184
Pm 2.8462 -4.1091 7.3003
Pm 2.8462 -4.4599 3.1152
Pm 2.8462 -9.7899 0.0000
Pr 2.8462 1.7621 9.9133
Pr 2.8462 -1.7621 4.5982
Ho 2.8462 7.8356 2.2661
Ho 2.8462 7.7914 8.4709
Ho 2.8462 -7.7914 3.1558
Ho 2.8462 -7.8356 7.5812
Er 2.8462 6.1007 5.2148
Er 2.8462 -6.1007 10.5299
```

# 2
Pm2HoEr6Sc3: simulated XRD peak list (Cu Kα), based on a GGA-PBE-relaxed structure.
Neutral-atom scattering factors, no anomalous dispersion.

Principal peaks in the range 2θ = 10–90°, in order of falling intensity:
| Position (°2θ) | d_spacing | I/Imax |
| --- | --- | --- |
| 31.49 | 2.841 | 100 |
| 36.60 | 2.455 | 66 |
| 31.76 | 2.818 | 31 |
| 62.72 | 1.481 | 26 |
| 52.55 | 1.741 | 24 |
| 52.90 | 1.731 | 21 |
| 62.57 | 1.485 | 14 |
| 63.03 | 1.475 | 12 |
| 65.74 | 1.420 | 12 |
| 86.06 | 1.130 | 12 |
| 88.92 | 1.101 | 11 |
| 15.72 | 5.636 | 10 |

Atomic structure:
```
12
Lattice="3.0166 -5.2231 0.0000 3.0166 5.2231 0.0000 -2.0092 0.0000 11.2715" Properties=species:S:1:pos:R:3 pbc="T T T"
Pm 3.0166 3.4807 0.0000
Pm 3.0166 -3.4807 0.0000
Ho 3.0166 0.0000 0.0000
Er 0.0021 1.7389 8.3325
Er 1.0096 0.0000 2.9378
Er 0.0021 -1.7389 8.3325
Er 4.0218 1.7389 2.9390
Er 3.0144 0.0000 8.3337
Er 4.0218 -1.7389 2.9390
Sc -1.0046 0.0000 5.6357
Sc 2.0120 1.7379 5.6357
Sc 2.0120 -1.7379 5.6357
```

> Which formula does entry 2 have?

Pm2HoEr6Sc3